# 1
Structure and calculated X-ray diffraction stick pattern of PrDyAl4 (a cell relaxed with PBE; Cu Ka).

Peak list (10 most intense, 2θ = 10–90°, in order of rising 2θ)
| 2θ/deg | I/Imax |
| --- | --- |
| 19.3 | 60.8 |
| 31.7 | 98.9 |
| 37.4 | 100.0 |
| 49.8 | 16.0 |
| 56.5 | 38.5 |
| 60.3 | 33.0 |
| 66.3 | 21.7 |
| 69.7 | 11.7 |
| 75.3 | 16.4 |
| 78.6 | 11.4 |

Cell: 5.6422 5.6422 5.6422 Å, 60.00 60.00 60.00°
Element x y z (fractional)
Pr 0.0000 0.0000 0.0000
Dy 0.7500 0.7500 0.7500
Al 0.3751 0.3751 0.3751
Al 0.3751 0.3751 0.8747
Al 0.3751 0.8747 0.3751
Al 0.8747 0.3751 0.3751

# 2
Structure and calculated X-ray diffraction stick pattern of Dy4Al24Pt9 (a cell relaxed with PBE; Cu Ka).

Peak list (10 most intense, 2θ = 10–90°, in order of rising 2θ)
| 2θ/deg | I/Imax |
| --- | --- |
| 20.6 | 29.8 |
| 23.8 | 60.0 |
| 23.9 | 29.8 |
| 28.7 | 61.7 |
| 28.8 | 30.9 |
| 30.1 | 100.0 |
| 34.9 | 24.3 |
| 38.4 | 23.4 |
| 41.6 | 74.9 |
| 41.8 | 49.1 |

Cell: 7.4977 7.5068 13.1948 Å, 84.67 79.21 60.23°
Element x y z (fractional)
Dy 0.0621 0.3316 0.3078
Dy 0.2675 0.9984 0.6925
Dy 0.7325 0.0016 0.3075
Dy 0.9379 0.6684 0.6922
Al 0.0180 0.6667 0.4444
Al 0.1172 0.6653 0.1701
Al 0.1467 0.3331 0.0588
Al 0.1856 0.0014 0.9410
Al 0.1938 0.8681 0.3158
Al 0.2300 0.6599 0.8306
Al 0.3178 0.6683 0.5468
Al 0.3522 0.0014 0.4448
Al 0.3958 0.4582 0.3161
Al 0.3981 0.3359 0.6829
Al 0.4441 0.9941 0.1700
Al 0.4795 0.6679 0.0609
Al 0.5205 0.3321 0.9391
Al 0.5559 0.0059 0.8300
Al 0.6019 0.6641 0.3171
Al 0.6042 0.5418 0.6839
Al 0.6478 0.9986 0.5552
Al 0.6822 0.3317 0.4532
Al 0.7700 0.3401 0.1694
Al 0.8062 0.1319 0.6842
Al 0.8144 0.9986 0.0590
Al 0.8533 0.6669 0.9412
Al 0.8828 0.3347 0.8299
Al 0.9820 0.3333 0.5556
Pt 0.0000 0.0000 0.5000
Pt 0.1129 0.0074 0.1388
Pt 0.2053 0.3333 0.8612
Pt 0.3286 0.3289 0.4999
Pt 0.4541 0.3255 0.1370
Pt 0.5459 0.6745 0.8630
Pt 0.6714 0.6711 0.5001
Pt 0.7947 0.6667 0.1388
Pt 0.8871 0.9926 0.8612

# 3
Structure and calculated X-ray diffraction stick pattern of DyAlPt (a cell relaxed with PBE; Cu Ka).

Peak list (10 most intense, 2θ = 10–90°, in order of rising 2θ)
| 2θ/deg | I/Imax |
| --- | --- |
| 26.4 | 30.4 |
| 26.5 | 48.3 |
| 33.4 | 40.4 |
| 34.9 | 100.0 |
| 40.4 | 23.1 |
| 40.7 | 32.0 |
| 42.6 | 17.7 |
| 46.0 | 24.5 |
| 53.4 | 13.2 |
| 63.0 | 14.6 |

Cell: 6.8909 4.4367 7.7418 Å, 90.00 90.00 90.00°
Element x y z (fractional)
Dy 0.0314 0.2500 0.1810
Dy 0.4686 0.7500 0.6810
Dy 0.5314 0.2500 0.3190
Dy 0.9686 0.7500 0.8190
Al 0.1480 0.2500 0.5632
Al 0.3520 0.7500 0.0632
Al 0.6480 0.2500 0.9368
Al 0.8520 0.7500 0.4368
Pt 0.2237 0.7500 0.3830
Pt 0.2763 0.2500 0.8830
Pt 0.7237 0.7500 0.1170
Pt 0.7763 0.2500 0.6170

# 4
Structure and calculated X-ray diffraction stick pattern of DyAl10Re2 (a cell relaxed with PBE; Cu Ka).

Peak list (10 most intense, 2θ = 10–90°, in order of rising 2θ)
| 2θ/deg | I/Imax |
| --- | --- |
| 17.8 | 66.4 |
| 19.7 | 31.4 |
| 22.6 | 36.6 |
| 26.2 | 36.2 |
| 27.5 | 100.0 |
| 29.8 | 39.1 |
| 38.7 | 37.6 |
| 39.8 | 80.4 |
| 40.0 | 32.0 |
| 40.1 | 59.1 |

Cell: 6.9706 6.9706 18.0405 Å, 90.00 90.00 96.15°
Element x y z (fractional)
Dy 0.0000 0.0000 0.0000
Dy 0.0000 0.0000 0.5000
Dy 0.2576 0.7424 0.7500
Dy 0.7424 0.2576 0.2500
Al 0.0000 0.5000 0.0000
Al 0.0000 0.5000 0.5000
Al 0.0327 0.9673 0.1742
Al 0.0327 0.9673 0.3258
Al 0.0888 0.6139 0.2500
Al 0.0920 0.3484 0.1314
Al 0.0920 0.3484 0.3686
Al 0.2480 0.7520 0.0927
Al 0.2480 0.7520 0.4073
Al 0.2721 0.2982 0.7500
Al 0.2815 0.7185 0.5746
Al 0.2815 0.7185 0.9254
Al 0.2982 0.2721 0.2500
Al 0.3484 0.0920 0.6314
Al 0.3484 0.0920 0.8686
Al 0.3510 0.3510 0.0000
Al 0.3510 0.3510 0.5000
Al 0.3861 0.9112 0.2500
Al 0.4944 0.5056 0.1428
Al 0.4944 0.5056 0.3572
Al 0.5000 0.0000 0.0000
Al 0.5000 0.0000 0.5000
Al 0.5056 0.4944 0.6428
Al 0.5056 0.4944 0.8572
Al 0.6139 0.0888 0.7500
Al 0.6490 0.6490 0.0000
Al 0.6490 0.6490 0.5000
Al 0.6516 0.9080 0.1314
Al 0.6516 0.9080 0.3686
Al 0.7018 0.7279 0.7500
Al 0.7185 0.2815 0.0746
Al 0.7185 0.2815 0.4254
Al 0.7279 0.7018 0.2500
Al 0.7520 0.2480 0.5927
Al 0.7520 0.2480 0.9073
Al 0.9080 0.6516 0.6314
Al 0.9080 0.6516 0.8686
Al 0.9112 0.3861 0.7500
Al 0.9673 0.0327 0.6742
Al 0.9673 0.0327 0.8258
Re 0.1302 0.3737 0.6208
Re 0.1302 0.3737 0.8792
Re 0.3737 0.1302 0.1208
Re 0.3737 0.1302 0.3792
Re 0.6263 0.8698 0.6208
Re 0.6263 0.8698 0.8792
Re 0.8698 0.6263 0.1208
Re 0.8698 0.6263 0.3792

# 5
Structure and calculated X-ray diffraction stick pattern of Dy3Al12Ru4 (a cell relaxed with PBE; Cu Ka).

Peak list (10 most intense, 2θ = 10–90°, in order of rising 2θ)
| 2θ/deg | I/Imax |
| --- | --- |
| 14.9 | 39.8 |
| 25.2 | 60.8 |
| 30.0 | 100.0 |
| 31.1 | 21.0 |
| 36.4 | 34.2 |
| 36.6 | 32.2 |
| 36.8 | 67.5 |
| 37.7 | 37.0 |
| 41.0 | 84.2 |
| 56.9 | 38.6 |

Cell: 8.7992 8.7992 9.5537 Å, 90.00 90.00 120.00°
Element x y z (fractional)
Dy 0.1930 0.3861 0.2500
Dy 0.1930 0.8070 0.2500
Dy 0.3861 0.1930 0.7500
Dy 0.6139 0.8070 0.2500
Dy 0.8070 0.1930 0.7500
Dy 0.8070 0.6139 0.7500
Al 0.0000 0.0000 0.2500
Al 0.0000 0.0000 0.7500
Al 0.1222 0.5611 0.7500
Al 0.1622 0.3244 0.5764
Al 0.1622 0.3244 0.9236
Al 0.1622 0.8378 0.5764
Al 0.1622 0.8378 0.9236
Al 0.3244 0.1622 0.0764
Al 0.3244 0.1622 0.4236
Al 0.3333 0.6667 0.0156
Al 0.3333 0.6667 0.4844
Al 0.4389 0.5611 0.7500
Al 0.4389 0.8778 0.7500
Al 0.5611 0.1222 0.2500
Al 0.5611 0.4389 0.2500
Al 0.6667 0.3333 0.5156
Al 0.6667 0.3333 0.9844
Al 0.6756 0.8378 0.5764
Al 0.6756 0.8378 0.9236
Al 0.8378 0.1622 0.0764
Al 0.8378 0.1622 0.4236
Al 0.8378 0.6756 0.0764
Al 0.8378 0.6756 0.4236
Al 0.8778 0.4389 0.2500
Ru 0.0000 0.0000 0.0000
Ru 0.0000 0.0000 0.5000
Ru 0.0000 0.5000 0.0000
Ru 0.0000 0.5000 0.5000
Ru 0.5000 0.0000 0.0000
Ru 0.5000 0.0000 0.5000
Ru 0.5000 0.5000 0.0000
Ru 0.5000 0.5000 0.5000

# 6
Structure and calculated X-ray diffraction stick pattern of Dy6Al2SiS14 (a cell relaxed with PBE; Cu Ka).

Peak list (10 most intense, 2θ = 10–90°, in order of rising 2θ)
| 2θ/deg | I/Imax |
| --- | --- |
| 18.3 | 49.5 |
| 21.2 | 26.9 |
| 26.0 | 100.0 |
| 28.1 | 20.6 |
| 35.5 | 42.0 |
| 37.1 | 63.7 |
| 41.7 | 58.9 |
| 50.9 | 21.2 |
| 52.3 | 21.9 |
| 76.1 | 22.5 |

Cell: 9.6863 9.6863 5.9492 Å, 90.00 90.00 120.00°
Element x y z (fractional)
Dy 0.0358 0.5519 0.0000
Dy 0.2993 0.1102 0.5127
Dy 0.4481 0.4838 0.0000
Dy 0.5162 0.9642 0.0000
Dy 0.8109 0.7007 0.5127
Dy 0.8898 0.1891 0.5127
Al 0.3333 0.6667 0.5859
Al 0.6667 0.3333 0.6915
Si 0.0000 0.0000 0.0891
S 0.0000 0.0000 0.7307
S 0.0891 0.8579 0.2345
S 0.1421 0.2312 0.2345
S 0.1872 0.4232 0.7411
S 0.2361 0.8128 0.7411
S 0.3333 0.6667 0.2119
S 0.4307 0.1975 0.9231
S 0.5210 0.4314 0.4576
S 0.5686 0.0896 0.4576
S 0.5768 0.7639 0.7411
S 0.7668 0.5693 0.9231
S 0.7688 0.9109 0.2345
S 0.8025 0.2332 0.9231
S 0.9104 0.4790 0.4576